Diffraction record for KBPt2. The X-ray powder pattern is computed, not measured: it uses a crystal structure in Alexandria, relaxed with PBE and Cu Kα, 1.54184 Å.
Lines closer than 0.1° are merged.

Crystal structure
```
KBPt2
1.0
3.047 0.000 0.000
0.000 10.325 0.000
-0.027 0.000 5.845
K B Pt
2 2 4
direct
0.201 0.250 0.496 K
0.799 0.750 0.504 K
0.202 0.250 0.996 B
0.798 0.750 0.004 B
0.306 0.616 0.003 Pt
0.306 0.884 0.003 Pt
0.694 0.116 0.997 Pt
0.694 0.384 0.997 Pt
```

Largest 10 diffraction maxima, in order of rising 2θ, 5° ≤ 2θ ≤ 70°:
index	2theta	I/Imax
0 0 1	15.16	100
0 0 2	30.59	40
1 1 -1	34.25	17
1 1 1	34.37	16
0 4 0	34.75	12
0 4 1	38.11	28
1 3 0	39.50	18
1 3 -1	42.49	9
0 4 2	46.97	10
1 3 -2	50.68	9